The following is a theoretical PXRD pattern of Ca2AlCuO5. It was derived from a crystal structure in Alexandria, relaxed with GGA-PBE, using Cu Kα X-rays.

Atomic structure:
Cell: 8.257 8.257 8.257 Å, 55.75 140.00 142.83°
Sites, in units of the cell vectors:
Ca (0.034, 0.108, 0.143)
Ca (0.034, 0.392, 0.426)
Ca (0.966, 0.608, 0.574)
Ca (0.966, 0.892, 0.857)
Al (0.386, 0.716, 0.170)
Al (0.546, 0.216, 0.830)
Cu (0.512, 0.012, 0.500)
Cu (0.512, 0.512, 0.000)
O (0.013, 0.273, 0.771)
O (0.013, 0.742, 0.240)
O (0.269, 0.879, 0.890)
O (0.470, 0.190, 0.576)
O (0.470, 0.394, 0.780)
O (0.502, 0.242, 0.229)
O (0.502, 0.773, 0.760)
O (0.614, 0.690, 0.220)
O (0.614, 0.894, 0.424)
O (0.988, 0.379, 0.110)

Largest 6 diffraction maxima, sorted by position, 10° ≤ 2θ ≤ 80°:
| d/Å | I/Imax |
| --- | --- |
| 7.299 | 66 |
| 2.824 | 33 |
| 2.649 | 100 |
| 2.632 | 43 |
| 2.057 | 38 |
| 1.925 | 42 |